# 1
This entry pairs a crystal structure of KMnO2 with its simulated X-ray powder pattern. Radiation: λ = 1.5418 Å (Cu Kα). Structure: a DFT-relaxed cell (PBE+U, the Materials Project).

The 8 most intense peaks (2θ from 10° to 80°), in order of falling intensity:
2theta, Rel. int.
32.5, 100
39.8, 89
33.2, 87
52.8, 69
67.7, 31
16.1, 27
68.1, 26
57.5, 24

```
KMnO2
1.0
-3.2032 3.2032 5.3942
3.2032 -3.2032 5.3942
3.2032 3.2032 -5.3942
K Mn O
4 4 8
Direct
0.3762 0.1280 0.2482 K
0.8720 0.1202 0.2482 K
0.8720 0.6238 0.7518 K
0.8798 0.1280 0.7518 K
0.3686 0.6187 0.7499 Mn
0.3813 0.1312 0.7499 Mn
0.3813 0.6314 0.2501 Mn
0.8688 0.6187 0.2501 Mn
0.1250 0.4338 0.3088 O
0.1250 0.8163 0.6912 O
0.1837 0.8750 0.3088 O
0.1905 0.3831 0.8074 O
0.5662 0.8750 0.6912 O
0.5758 0.3831 0.1926 O
0.6169 0.4242 0.8074 O
0.6169 0.8095 0.1926 O
```

=====

# 2
This entry pairs a crystal structure of MgFe6O10F2 with its simulated X-ray powder pattern. Radiation: λ = 1.5418 Å (Cu Kα). Structure: a DFT-relaxed cell (PBE+U, the Materials Project).

The 8 most intense peaks (2θ from 10° to 80°), in order of falling intensity:
2theta, Rel. int.
23.4, 100
27.6, 99
35.5, 51
63.4, 34
35.7, 28
36.1, 27
35.2, 24
49.6, 23

```
MgFe6O10F2
1.0
5.7230 0.0000 0.0000
-2.2905 5.4782 0.0000
-1.0930 -2.8702 6.9062
Mg Fe O F
1 6 10 2
Direct
0.0000 0.0000 0.0000 Mg
0.0180 0.9417 0.4673 Fe
0.3421 0.5318 0.3626 Fe
0.3798 0.9323 0.7991 Fe
0.6434 0.0799 0.2304 Fe
0.6640 0.4814 0.6678 Fe
0.9961 0.5144 0.0155 Fe
0.0340 0.1627 0.3059 O
0.0869 0.6640 0.2988 O
0.2888 0.8677 0.0297 O
0.3821 0.1447 0.6456 O
0.4301 0.6513 0.6391 O
0.5875 0.3592 0.3931 O
0.6435 0.8398 0.3602 O
0.7305 0.1501 0.9925 O
0.7429 0.6280 0.9385 O
0.9916 0.8261 0.6978 O
0.2628 0.3650 0.0572 F
0.9364 0.3446 0.7257 F
```

=====

# 3
This entry pairs a crystal structure of MgVO3 with its simulated X-ray powder pattern. Radiation: λ = 1.5418 Å (Cu Kα). Structure: a DFT-relaxed cell (PBE+U, the Materials Project).

The 8 most intense peaks (2θ from 10° to 80°), in order of falling intensity:
2theta, Rel. int.
17.3, 100
25.2, 93
35.5, 48
48.4, 41
18.7, 27
50.7, 25
51.8, 17
33.6, 15

```
MgVO3
1.0
2.6682 -5.1301 0.0000
2.6682 5.1301 0.0000
0.0000 0.0000 5.3073
Mg V O
2 2 6
Direct
0.0746 0.9254 0.5000 Mg
0.9254 0.0746 0.0000 Mg
0.4297 0.5703 0.4985 V
0.5703 0.4297 0.9985 V
0.2611 0.2608 0.2491 O
0.2608 0.2611 0.7491 O
0.2651 0.7349 0.4965 O
0.7349 0.2651 0.9965 O
0.7392 0.7389 0.2491 O
0.7389 0.7392 0.7491 O
```

=====

# 4
This entry pairs a crystal structure of Mn2ClO3 with its simulated X-ray powder pattern. Radiation: λ = 1.5418 Å (Cu Kα). Structure: a DFT-relaxed cell (PBE+U, the Materials Project).

The 8 most intense peaks (2θ from 10° to 80°), in order of falling intensity:
2theta, Rel. int.
16.9, 100
40.7, 49
18.2, 48
32.5, 45
42.5, 32
34.4, 23
60.3, 23
33.0, 23

```
Mn2ClO3
1.0
5.9359 0.0000 0.0000
0.0000 6.6854 0.0000
0.0000 0.0000 8.5024
Mn Cl O
8 4 12
Direct
0.0000 0.0000 0.0000 Mn
0.0000 0.5000 0.0000 Mn
0.1944 0.2500 0.2511 Mn
0.3056 0.7500 0.7511 Mn
0.5000 0.0000 0.5000 Mn
0.5000 0.5000 0.5000 Mn
0.6944 0.2500 0.2489 Mn
0.8056 0.7500 0.7489 Mn
0.1641 0.2500 0.5287 Cl
0.3359 0.7500 0.0287 Cl
0.6641 0.2500 0.9713 Cl
0.8359 0.7500 0.4713 Cl
0.0518 0.5599 0.7743 O
0.0518 0.9401 0.7743 O
0.1804 0.2500 0.0231 O
0.3196 0.7500 0.5231 O
0.4482 0.0599 0.2743 O
0.4482 0.4401 0.2743 O
0.5518 0.5599 0.7257 O
0.5518 0.9401 0.7257 O
0.6804 0.2500 0.4769 O
0.8196 0.7500 0.9769 O
0.9482 0.0599 0.2257 O
0.9482 0.4401 0.2257 O
```